1.
Theoretical X-ray powder pattern
Compound: Pr3Y5Ho3
Radiation: Cu Kα (weighted mean of Kα1 and Kα2)
Structure: a GGA-PBE-relaxed structure
Lines closer than 0.1° are merged.

Crystal structure
```
data_Pr3Y5Ho3
_cell_length_a 9.741
_cell_length_b 9.741
_cell_length_c 5.372
_cell_angle_alpha 90.00
_cell_angle_beta 90.00
_cell_angle_gamma 120.00
_space_group_name_H-M_alt 'P 1'
_space_group_IT_number 1
_space_group_name_Hall 'P 1'
loop_
_atom_site_label
_atom_site_fract_x
_atom_site_fract_y
_atom_site_fract_z
Pr1 0.000 0.367 0.000
Pr2 0.367 0.000 0.000
Pr3 0.633 0.633 0.000
Y1 0.000 0.741 0.000
Y2 0.259 0.259 0.000
Y3 0.333 0.667 0.000
Y4 0.667 0.333 0.000
Y5 0.741 0.000 0.000
Ho1 0.000 0.540 0.500
Ho2 0.460 0.460 0.500
Ho3 0.540 0.000 0.500
```

The 12 most intense peaks (15° ≤ 2θ ≤ 90°), sorted by position:
2θ 16.5, rel. 33
2θ 18.2, rel. 41
2θ 21.1, rel. 48
2θ 24.7, rel. 48
2θ 26.9, rel. 100
2θ 28.0, rel. 38
2θ 31.8, rel. 44
2θ 32.7, rel. 88
2θ 33.4, rel. 67
2θ 36.1, rel. 97
2θ 40.7, rel. 36
2θ 42.1, rel. 51

=====

2.
Theoretical X-ray powder pattern
Compound: Ac12Pm7Tm
Radiation: Cu Kα (weighted mean of Kα1 and Kα2)
Structure: a GGA-PBE-relaxed structure
Lines closer than 0.1° are merged.

Crystal structure
```
data_Ac12Pm7Tm
_cell_length_a 12.217
_cell_length_b 12.217
_cell_length_c 12.217
_cell_angle_alpha 116.76
_cell_angle_beta 116.76
_cell_angle_gamma 116.76
_space_group_name_H-M_alt 'P 1'
_space_group_IT_number 1
_space_group_name_Hall 'P 1'
loop_
_atom_site_label
_atom_site_fract_x
_atom_site_fract_y
_atom_site_fract_z
Ac1 0.000 0.412 0.588
Ac2 0.000 0.588 0.412
Ac3 0.068 0.068 0.414
Ac4 0.068 0.414 0.068
Ac5 0.412 0.000 0.588
Ac6 0.412 0.588 0.000
Ac7 0.414 0.068 0.068
Ac8 0.586 0.932 0.932
Ac9 0.588 0.000 0.412
Ac10 0.588 0.412 0.000
Ac11 0.932 0.586 0.932
Ac12 0.932 0.932 0.586
Pm1 0.000 0.000 0.000
Pm2 0.151 0.393 0.393
Pm3 0.393 0.151 0.393
Pm4 0.393 0.393 0.151
Pm5 0.607 0.607 0.849
Pm6 0.607 0.849 0.607
Pm7 0.849 0.607 0.607
Tm1 0.500 0.500 0.500
```

The 12 most intense peaks (15° ≤ 2θ ≤ 90°), sorted by position:
2θ 22.2, rel. 25
2θ 25.3, rel. 34
2θ 25.7, rel. 45
2θ 28.1, rel. 100
2θ 28.5, rel. 64
2θ 30.7, rel. 59
2θ 31.0, rel. 50
2θ 36.7, rel. 36
2θ 37.4, rel. 25
2θ 43.5, rel. 26
2θ 44.4, rel. 40
2θ 51.9, rel. 24

=====

3.
Theoretical X-ray powder pattern
Compound: CsPd4F12
Radiation: Cu Kα (weighted mean of Kα1 and Kα2)
Structure: a GGA-PBE-relaxed structure
Lines closer than 0.1° are merged.

Crystal structure
```
data_CsPd4F12
_cell_length_a 7.116
_cell_length_b 7.116
_cell_length_c 7.116
_cell_angle_alpha 109.47
_cell_angle_beta 109.47
_cell_angle_gamma 109.47
_space_group_name_H-M_alt 'P 1'
_space_group_IT_number 1
_space_group_name_Hall 'P 1'
loop_
_atom_site_label
_atom_site_fract_x
_atom_site_fract_y
_atom_site_fract_z
Cs1 0.000 0.000 0.000
Pd1 0.000 0.000 0.500
Pd2 0.000 0.500 0.000
Pd3 0.500 0.000 0.000
Pd4 0.500 0.500 0.500
F1 0.052 0.773 0.279
F2 0.227 0.279 0.506
F3 0.227 0.721 0.948
F4 0.279 0.052 0.773
F5 0.279 0.506 0.227
F6 0.494 0.773 0.721
F7 0.506 0.227 0.279
F8 0.721 0.494 0.773
F9 0.721 0.948 0.227
F10 0.773 0.279 0.052
F11 0.773 0.721 0.494
F12 0.948 0.227 0.721
```

The 12 most intense peaks (15° ≤ 2θ ≤ 90°), sorted by position:
2θ 15.2, rel. 36
2θ 21.6, rel. 76
2θ 26.6, rel. 21
2θ 30.8, rel. 100
2θ 34.5, rel. 14
2θ 41.1, rel. 15
2θ 44.1, rel. 45
2θ 49.6, rel. 30
2θ 54.7, rel. 45
2θ 64.1, rel. 25
2θ 72.8, rel. 18
2θ 89.2, rel. 23